Record 1
# LaNd3Au4
Theoretical XRD peak list, Cu Kα (λ = 1.5418 Å). Input: a GGA-PBE-relaxed structure.
Lines closer than 0.1° are merged.

a = 7.473 Å, b = 7.473 Å, c = 7.473 Å
α = 90.00°, β = 90.00°, γ = 90.00°
Atoms (fractional coordinates):
La1 0.000 0.000 0.000
La2 0.500 0.500 0.500
Nd1 0.000 0.000 0.500
Nd2 0.000 0.500 0.000
Nd3 0.000 0.500 0.500
Nd4 0.500 0.000 0.000
Nd5 0.500 0.000 0.500
Nd6 0.500 0.500 0.000
Au1 0.250 0.250 0.250
Au2 0.250 0.250 0.750
Au3 0.250 0.750 0.250
Au4 0.250 0.750 0.750
Au5 0.750 0.250 0.250
Au6 0.750 0.250 0.750
Au7 0.750 0.750 0.250
Au8 0.750 0.750 0.750

Peak list (6 most intense, 5° ≤ 2θ ≤ 70°, by angle)
| 2θ (°) | d [Å] | intensity |
| --- | --- | --- |
| 23.82 | 3.736 | 3 |
| 33.93 | 2.642 | 100 |
| 41.88 | 2.157 | 1 |
| 48.75 | 1.868 | 18 |
| 54.95 | 1.671 | 1 |
| 60.72 | 1.525 | 38 |

Record 2
# Tm2HgO4
Theoretical XRD peak list, Cu Kα (λ = 1.5418 Å). Input: a GGA-PBE-relaxed structure.
Lines closer than 0.1° are merged.

a = 7.017 Å, b = 7.017 Å, c = 10.077 Å
α = 121.84°, β = 121.84°, γ = 29.39°
Atoms (fractional coordinates):
Tm1 0.119 0.119 0.464
Tm2 0.341 0.341 0.199
Tm3 0.659 0.659 0.801
Tm4 0.881 0.881 0.536
Hg1 0.386 0.386 0.838
Hg2 0.614 0.614 0.162
O1 0.083 0.083 0.652
O2 0.267 0.267 0.389
O3 0.297 0.297 0.946
O4 0.466 0.466 0.716
O5 0.534 0.534 0.284
O6 0.703 0.703 0.054
O7 0.733 0.733 0.611
O8 0.917 0.917 0.348

Peak list (10 most intense, 5° ≤ 2θ ≤ 70°, by angle)
| 2θ (°) | d [Å] | intensity |
| --- | --- | --- |
| 26.61 | 3.350 | 77 |
| 29.90 | 2.988 | 63 |
| 30.11 | 2.968 | 48 |
| 31.45 | 2.845 | 69 |
| 31.78 | 2.816 | 61 |
| 33.09 | 2.707 | 100 |
| 36.56 | 2.458 | 72 |
| 39.96 | 2.256 | 43 |
| 52.45 | 1.744 | 54 |
| 54.66 | 1.679 | 47 |

Record 3
# K3Cl
Theoretical XRD peak list, Cu Kα (λ = 1.5418 Å). Input: a GGA-PBE-relaxed structure.
Lines closer than 0.1° are merged.

a = 4.501 Å, b = 4.501 Å, c = 11.848 Å
α = 90.00°, β = 90.00°, γ = 120.00°
Atoms (fractional coordinates):
K1 0.000 0.000 0.000
K2 0.667 0.333 0.336
K3 0.667 0.333 0.664
Cl1 0.000 0.000 0.500

Peak list (10 most intense, 5° ≤ 2θ ≤ 70°, by angle)
| 2θ (°) | d [Å] | intensity |
| --- | --- | --- |
| 7.46 | 11.848 | 49 |
| 22.51 | 3.949 | 20 |
| 22.81 | 3.898 | 49 |
| 24.04 | 3.703 | 27 |
| 27.39 | 3.256 | 100 |
| 32.27 | 2.774 | 38 |
| 38.16 | 2.358 | 41 |
| 40.07 | 2.250 | 39 |
| 49.22 | 1.851 | 16 |
| 62.58 | 1.484 | 18 |

Question: Number 3 is which compound?
Answer: K3Cl